# Ni3SnSb5
Computed XRD peak list, copper Kα. Input: DFT lattice parameters and positions (PBE).

The 12 most intense peaks (10° ≤ 2θ ≤ 90°), by angle:
| hkl | 2θ (°) | d/Å | I (rel.) |
| --- | --- | --- | --- |
| 1 1 0 | 26.94 | 3.310 | 32 |
| 0 1 3 | 28.77 | 3.104 | 48 |
| 1 1 -3 | 31.96 | 2.800 | 99 |
| 1 1 3 | 32.12 | 2.787 | 100 |
| 2 0 -3 | 32.65 | 2.743 | 73 |
| 2 0 3 | 32.95 | 2.718 | 72 |
| 0 0 6 | 34.44 | 2.604 | 30 |
| 1 1 -6 | 44.13 | 2.052 | 50 |
| 1 1 6 | 44.37 | 2.042 | 48 |
| 0 2 0 | 47.03 | 1.932 | 46 |
| 3 1 0 | 48.68 | 1.870 | 70 |
| 2 2 3 | 58.62 | 1.575 | 27 |

Structural model:
Unit cell a=6.4129 b=3.8645 c=15.6276 alpha=90.00 beta=90.59 gamma=90.00
Fractional positions:
Ni1 0.0000 0.0000 0.0000
Ni2 0.0044 0.0000 0.6635
Ni3 0.4940 0.5000 0.8357
Ni4 0.5000 0.5000 0.5000
Ni5 0.5060 0.5000 0.1643
Ni6 0.9956 0.0000 0.3365
Sn1 0.1484 0.5000 0.2402
Sn2 0.8516 0.5000 0.7598
Sb1 0.1400 0.5000 0.9079
Sb2 0.1447 0.5000 0.5722
Sb3 0.3562 0.0000 0.7412
Sb4 0.3591 0.0000 0.0731
Sb5 0.3593 0.0000 0.4041
Sb6 0.6407 0.0000 0.5959
Sb7 0.6409 0.0000 0.9269
Sb8 0.6438 0.0000 0.2588
Sb9 0.8553 0.5000 0.4278
Sb10 0.8600 0.5000 0.0921